Record 1
# Mg6Bi
Simulated powder diffractogram, Cu Kα X-rays. Input: a GGA-PBE-relaxed structure.
Kinematic intensities with the Lorentz-polarization factor, no thermal factor.

Structure:
Cell: 7.968 7.968 7.968 Å, 90.00 90.00 90.00°
Sites, in units of the cell vectors:
Mg 0.000 0.250 0.500
Mg 0.000 0.500 0.250
Mg 0.000 0.500 0.750
Mg 0.000 0.750 0.500
Mg 0.250 0.000 0.500
Mg 0.250 0.500 0.000
Mg 0.500 0.000 0.250
Mg 0.500 0.000 0.750
Mg 0.500 0.250 0.000
Mg 0.500 0.750 0.000
Mg 0.750 0.000 0.500
Mg 0.750 0.500 0.000
Bi 0.000 0.000 0.000
Bi 0.500 0.500 0.500

Principal peaks in the range 2θ from 10° to 90°, by angle:
- (1 1 0), 2θ 15.73, 5.635 Å, rel. 61
- (2 0 0), 2θ 22.31, 3.984 Å, rel. 41
- (2 1 1), 2θ 27.42, 3.253 Å, rel. 100
- (3 1 0), 2θ 35.63, 2.520 Å, rel. 18
- (3 2 1), 2θ 42.45, 2.130 Å, rel. 63
- (4 2 0), 2θ 51.27, 1.782 Å, rel. 18
- (3 3 2), 2θ 53.97, 1.699 Å, rel. 16
- (5 1 0), 2θ 59.12, 1.563 Å, rel. 14
- (5 2 1), 2θ 64.00, 1.455 Å, rel. 19
- (6 1 1), 2θ 73.22, 1.293 Å, rel. 19


Record 2
# BaPaPdSe4
Simulated powder diffractogram, Cu Kα X-rays. Input: a GGA-PBE-relaxed structure.
Kinematic intensities with the Lorentz-polarization factor, no thermal factor.

Structure:
Cell: 7.173 5.930 9.124 Å, 90.00 109.62 90.00°
Sites, in units of the cell vectors:
Ba 0.245 0.250 0.057
Ba 0.755 0.750 0.943
Pa 0.274 0.250 0.557
Pa 0.726 0.750 0.443
Pd 0.245 0.750 0.307
Pd 0.755 0.250 0.693
Se 0.036 0.513 0.707
Se 0.036 0.987 0.707
Se 0.435 0.750 0.594
Se 0.455 0.750 0.138
Se 0.545 0.250 0.862
Se 0.565 0.250 0.406
Se 0.964 0.013 0.293
Se 0.964 0.487 0.293

Principal peaks in the range 2θ from 10° to 90°, by angle:
- (0 0 1), 2θ 10.29, 8.594 Å, rel. 100
- (1 1 0), 2θ 19.92, 4.457 Å, rel. 49
- (2 0 -2), 2θ 27.57, 3.236 Å, rel. 52
- (1 0 2), 2θ 28.11, 3.175 Å, rel. 52
- (0 2 0), 2θ 30.14, 2.965 Å, rel. 57
- (2 1 -2), 2θ 31.50, 2.840 Å, rel. 79
- (1 1 2), 2θ 31.97, 2.799 Å, rel. 100
- (1 0 -4), 2θ 39.50, 2.281 Å, rel. 67
- (2 2 0), 2θ 40.48, 2.228 Å, rel. 53
- (3 1 -2), 2θ 41.41, 2.180 Å, rel. 48


Please write out number 1 again, unchanged.
# Mg6Bi
Simulated powder diffractogram, Cu Kα X-rays. Input: a GGA-PBE-relaxed structure.
Kinematic intensities with the Lorentz-polarization factor, no thermal factor.

Structure:
Cell: 7.968 7.968 7.968 Å, 90.00 90.00 90.00°
Sites, in units of the cell vectors:
Mg 0.000 0.250 0.500
Mg 0.000 0.500 0.250
Mg 0.000 0.500 0.750
Mg 0.000 0.750 0.500
Mg 0.250 0.000 0.500
Mg 0.250 0.500 0.000
Mg 0.500 0.000 0.250
Mg 0.500 0.000 0.750
Mg 0.500 0.250 0.000
Mg 0.500 0.750 0.000
Mg 0.750 0.000 0.500
Mg 0.750 0.500 0.000
Bi 0.000 0.000 0.000
Bi 0.500 0.500 0.500

Principal peaks in the range 2θ from 10° to 90°, by angle:
- (1 1 0), 2θ 15.73, 5.635 Å, rel. 61
- (2 0 0), 2θ 22.31, 3.984 Å, rel. 41
- (2 1 1), 2θ 27.42, 3.253 Å, rel. 100
- (3 1 0), 2θ 35.63, 2.520 Å, rel. 18
- (3 2 1), 2θ 42.45, 2.130 Å, rel. 63
- (4 2 0), 2θ 51.27, 1.782 Å, rel. 18
- (3 3 2), 2θ 53.97, 1.699 Å, rel. 16
- (5 1 0), 2θ 59.12, 1.563 Å, rel. 14
- (5 2 1), 2θ 64.00, 1.455 Å, rel. 19
- (6 1 1), 2θ 73.22, 1.293 Å, rel. 19